(1)
The following is a simulated powder diffractogram of Sm12InRu6. It was derived from a structure optimized by DFT (PBE), using Cu Kα (λ = 1.5418 Å).
Peak positions follow from Bragg's law for the DFT cell and can differ from measured ones.

Largest 10 diffraction maxima, low angle first, 10° ≤ 2θ ≤ 90°:
two_theta	I/Imax	hkl
28.1	15	3 0 1
30.8	45	2 2 2
33.4	100	3 1 2
35.8	22	4 0 0
46.1	26	5 0 1
53.2	25	5 3 0
54.8	13	6 0 0
56.5	30	5 2 3
65.7	20	5 3 4
82.6	17	7 0 5

Structure:
```
data_Sm12InRu6
_chemical_formula_sum 'Sm24 In2 Ru12'
_symmetry_space_group_name_H-M 'I m -3'
_symmetry_Int_Tables_number 204
_symmetry_space_group_name_Hall '-I 2 2 3'
_cell_length_a 10.0438
_cell_length_b 10.0438
_cell_length_c 10.0438
_cell_angle_alpha 90.00
_cell_angle_beta 90.00
_cell_angle_gamma 90.00
loop_
_atom_site_label
_atom_site_fract_x
_atom_site_fract_y
_atom_site_fract_z
Sm1 0.0000 0.2975 0.1959
In1 0.0000 0.0000 0.0000
Ru1 0.0000 0.1220 0.5000
```


(2)
The following is a simulated powder diffractogram of SmYInRu. It was derived from a structure optimized by DFT (PBE), using Cu Kα (λ = 1.5418 Å).
Peak positions follow from Bragg's law for the DFT cell and can differ from measured ones.

Largest 10 diffraction maxima, low angle first, 10° ≤ 2θ ≤ 90°:
two_theta	I/Imax	hkl
10.9	9	0 0 1
28.0	9	1 0 1
34.1	100	1 0 2
36.8	47	1 1 0
42.4	7	1 0 3
44.6	7	0 0 4
53.0	16	2 0 0
59.1	13	1 1 4
64.5	30	2 1 2
89.7	7	3 1 0

Structure:
```
data_SmYInRu
_chemical_formula_sum 'Sm1 Y1 In1 Ru1'
_symmetry_space_group_name_H-M 'P 4 m m'
_symmetry_Int_Tables_number 99
_symmetry_space_group_name_Hall 'P 4 -2'
_cell_length_a 3.4575
_cell_length_b 3.4575
_cell_length_c 8.1229
_cell_angle_alpha 90.00
_cell_angle_beta 90.00
_cell_angle_gamma 90.00
loop_
_atom_site_label
_atom_site_fract_x
_atom_site_fract_y
_atom_site_fract_z
Sm1 0.0000 0.0000 0.0000
Y1 0.0000 0.0000 0.5837
In1 0.5000 0.5000 0.2981
Ru1 0.5000 0.5000 0.7864
```


(3)
The following is a simulated powder diffractogram of InSn2Ru2. It was derived from a structure optimized by DFT (PBE), using Cu Kα (λ = 1.5418 Å).
Peak positions follow from Bragg's law for the DFT cell and can differ from measured ones.

Largest 10 diffraction maxima, low angle first, 10° ≤ 2θ ≤ 90°:
two_theta	I/Imax	hkl
32.1	11	1 1 1
36.3	8	2 0 1
37.4	60	3 1 0
38.2	100	2 1 1
51.0	7	3 3 0
54.0	8	4 2 0
56.4	11	0 0 2
57.4	11	4 1 1
69.7	19	3 1 2
73.1	24	5 2 1

Structure:
```
data_InSn2Ru2
_chemical_formula_sum 'In2 Sn4 Ru4'
_symmetry_space_group_name_H-M 'P 4/m b m'
_symmetry_Int_Tables_number 127
_symmetry_space_group_name_Hall '-P 4 2ab'
_cell_length_a 7.5959
_cell_length_b 7.5959
_cell_length_c 3.2631
_cell_angle_alpha 90.00
_cell_angle_beta 90.00
_cell_angle_gamma 90.00
loop_
_atom_site_label
_atom_site_fract_x
_atom_site_fract_y
_atom_site_fract_z
In1 0.0000 0.0000 0.0000
Sn1 0.1488 0.3512 0.5000
Ru1 0.1484 0.6484 0.0000
```


(4)
The following is a simulated powder diffractogram of Ta5InRu6. It was derived from a structure optimized by DFT (PBE), using Cu Kα (λ = 1.5418 Å).
Peak positions follow from Bragg's law for the DFT cell and can differ from measured ones.

Largest 10 diffraction maxima, low angle first, 10° ≤ 2θ ≤ 90°:
two_theta	I/Imax	hkl
28.9	6	0 2 0
39.5	100	1 2 1
41.4	44	1 2 -2
54.2	10	2 0 2
59.8	7	0 4 0
60.0	7	2 0 -4
70.4	17	1 2 4
74.1	16	0 4 3
74.3	15	1 2 -5
85.0	6	2 4 2

Structure:
```
data_Ta5InRu6
_chemical_formula_sum 'Ta5 In1 Ru6'
_symmetry_space_group_name_H-M 'P 1 2/m 1'
_symmetry_Int_Tables_number 10
_symmetry_space_group_name_Hall '-P 2y'
_cell_length_a 4.5758
_cell_length_b 6.1837
_cell_length_c 7.0317
_cell_angle_alpha 90.00
_cell_angle_beta 103.60
_cell_angle_gamma 90.00
loop_
_atom_site_label
_atom_site_fract_x
_atom_site_fract_y
_atom_site_fract_z
Ta1 0.0000 0.0000 0.0000
Ta2 0.3204 0.0000 0.6710
Ta3 0.3220 0.5000 0.6719
In1 0.0000 0.5000 0.0000
Ru1 0.1882 0.2499 0.3458
Ru2 0.5000 0.2451 0.0000
```


(5)
The following is a simulated powder diffractogram of TbYInRu. It was derived from a structure optimized by DFT (PBE), using Cu Kα (λ = 1.5418 Å).
Peak positions follow from Bragg's law for the DFT cell and can differ from measured ones.

Largest 10 diffraction maxima, low angle first, 10° ≤ 2θ ≤ 90°:
two_theta	I/Imax	hkl
11.4	10	0 0 1
28.1	8	1 0 1
34.6	100	1 0 2
36.4	48	1 1 0
52.5	17	2 0 0
60.9	14	1 1 4
64.4	35	2 1 2
73.1	8	2 0 4
87.7	8	3 0 2
88.7	8	3 1 0

Structure:
```
data_TbYInRu
_chemical_formula_sum 'Tb1 Y1 In1 Ru1'
_symmetry_space_group_name_H-M 'P 4 m m'
_symmetry_Int_Tables_number 99
_symmetry_space_group_name_Hall 'P 4 -2'
_cell_length_a 3.4861
_cell_length_b 3.4861
_cell_length_c 7.7376
_cell_angle_alpha 90.00
_cell_angle_beta 90.00
_cell_angle_gamma 90.00
loop_
_atom_site_label
_atom_site_fract_x
_atom_site_fract_y
_atom_site_fract_z
Tb1 0.0000 0.0000 0.0000
Y1 0.0000 0.0000 0.5721
In1 0.5000 0.5000 0.2873
Ru1 0.5000 0.5000 0.7873
```


(6)
The following is a simulated powder diffractogram of In2TeRu. It was derived from a structure optimized by DFT (PBE), using Cu Kα (λ = 1.5418 Å).
Peak positions follow from Bragg's law for the DFT cell and can differ from measured ones.

Largest 10 diffraction maxima, low angle first, 10° ≤ 2θ ≤ 90°:
two_theta	I/Imax	hkl
31.3	100	1 1 -1
34.1	33	1 0 1
40.1	52	1 1 1
40.6	36	0 1 2
41.5	29	0 2 0
44.4	24	2 0 -1
54.8	17	1 2 1
61.8	20	2 1 -3
62.4	17	2 2 -1
82.5	14	1 2 3

Structure:
```
data_In2TeRu
_chemical_formula_sum 'In2 Te1 Ru1'
_symmetry_space_group_name_H-M 'P 1 m 1'
_symmetry_Int_Tables_number 6
_symmetry_space_group_name_Hall 'P -2y'
_cell_length_a 4.0788
_cell_length_b 4.3496
_cell_length_c 5.5488
_cell_angle_alpha 90.00
_cell_angle_beta 111.50
_cell_angle_gamma 90.00
loop_
_atom_site_label
_atom_site_fract_x
_atom_site_fract_y
_atom_site_fract_z
In1 0.0000 0.0000 0.0000
In2 0.2968 0.5000 0.5996
Te1 0.7134 0.0000 0.4328
Ru1 0.5719 0.5000 0.1385
```


(7)
The following is a simulated powder diffractogram of Th2In8Ru. It was derived from a structure optimized by DFT (PBE), using Cu Kα (λ = 1.5418 Å).
Peak positions follow from Bragg's law for the DFT cell and can differ from measured ones.

Largest 10 diffraction maxima, low angle first, 10° ≤ 2θ ≤ 90°:
two_theta	I/Imax	hkl
18.8	15	1 0 0
30.4	45	1 1 2
34.5	100	1 1 3
36.3	21	0 0 5
38.1	57	2 0 0
53.6	27	2 0 5
54.9	20	2 2 0
66.5	29	3 1 3
66.6	14	1 1 8
67.6	13	2 2 5

Structure:
```
data_Th2In8Ru
_chemical_formula_sum 'Th2 In8 Ru1'
_symmetry_space_group_name_H-M 'P 4/m m m'
_symmetry_Int_Tables_number 123
_symmetry_space_group_name_Hall '-P 4 2'
_cell_length_a 4.7294
_cell_length_b 4.7294
_cell_length_c 12.3729
_cell_angle_alpha 90.00
_cell_angle_beta 90.00
_cell_angle_gamma 90.00
loop_
_atom_site_label
_atom_site_fract_x
_atom_site_fract_y
_atom_site_fract_z
Th1 0.0000 0.0000 0.1952
In1 0.0000 0.5000 0.0000
In2 0.0000 0.5000 0.3819
In3 0.5000 0.5000 0.1917
Ru1 0.0000 0.0000 0.5000
```


(8)
The following is a simulated powder diffractogram of Tm3InRu. It was derived from a structure optimized by DFT (PBE), using Cu Kα (λ = 1.5418 Å).
Peak positions follow from Bragg's law for the DFT cell and can differ from measured ones.

Largest 10 diffraction maxima, low angle first, 10° ≤ 2θ ≤ 90°:
two_theta	I/Imax	hkl
27.5	29	2 0 0
29.1	51	0 2 4
32.1	89	1 3 1
32.4	86	1 1 5
35.4	100	2 2 2
35.5	78	2 0 4
35.8	49	1 3 3
38.5	39	0 2 6
40.5	38	2 2 4
58.3	39	1 5 5

Structure:
```
data_Tm3InRu
_chemical_formula_sum 'Tm24 In8 Ru8'
_symmetry_space_group_name_H-M 'F m m m'
_symmetry_Int_Tables_number 69
_symmetry_space_group_name_Hall '-F 2 2'
_cell_length_a 6.4810
_cell_length_b 9.4513
_cell_length_c 16.1477
_cell_angle_alpha 90.00
_cell_angle_beta 90.00
_cell_angle_gamma 90.00
loop_
_atom_site_label
_atom_site_fract_x
_atom_site_fract_y
_atom_site_fract_z
Tm1 0.0000 0.0000 0.2000
Tm2 0.0000 0.1886 0.3872
In1 0.2113 0.0000 0.0000
Ru1 0.2500 0.2500 0.2500
```


(9)
The following is a simulated powder diffractogram of Tm3InRu2. It was derived from a structure optimized by DFT (PBE), using Cu Kα (λ = 1.5418 Å).
Peak positions follow from Bragg's law for the DFT cell and can differ from measured ones.

Largest 10 diffraction maxima, low angle first, 10° ≤ 2θ ≤ 90°:
two_theta	I/Imax	hkl
26.0	6	1 0 0
36.1	100	1 0 3
37.1	55	1 1 0
42.5	10	1 0 4
50.5	10	0 0 6
53.5	19	2 0 0
64.3	13	1 1 6
66.3	34	2 1 3
76.6	6	2 0 6
79.1	6	2 2 0

Structure:
```
data_Tm3InRu2
_chemical_formula_sum 'Tm3 In1 Ru2'
_symmetry_space_group_name_H-M 'P 4/m m m'
_symmetry_Int_Tables_number 123
_symmetry_space_group_name_Hall '-P 4 2'
_cell_length_a 3.4234
_cell_length_b 3.4234
_cell_length_c 10.8555
_cell_angle_alpha 90.00
_cell_angle_beta 90.00
_cell_angle_gamma 90.00
loop_
_atom_site_label
_atom_site_fract_x
_atom_site_fract_y
_atom_site_fract_z
Tm1 0.0000 0.0000 0.0000
Tm2 0.0000 0.0000 0.2995
In1 0.5000 0.5000 0.5000
Ru1 0.5000 0.5000 0.1576
```


(10)
The following is a simulated powder diffractogram of Tm12InRu6. It was derived from a structure optimized by DFT (PBE), using Cu Kα (λ = 1.5418 Å).
Peak positions follow from Bragg's law for the DFT cell and can differ from measured ones.

Largest 10 diffraction maxima, low angle first, 10° ≤ 2θ ≤ 90°:
two_theta	I/Imax	hkl
29.1	18	3 1 0
32.0	43	2 2 2
34.6	100	3 2 1
37.1	21	4 0 0
47.8	21	5 1 0
55.2	26	5 0 3
57.0	13	6 0 0
58.7	32	5 3 2
68.4	19	5 4 3
86.3	17	7 5 0

Structure:
```
data_Tm12InRu6
_chemical_formula_sum 'Tm24 In2 Ru12'
_symmetry_space_group_name_H-M 'I m -3'
_symmetry_Int_Tables_number 204
_symmetry_space_group_name_Hall '-I 2 2 3'
_cell_length_a 9.7000
_cell_length_b 9.7000
_cell_length_c 9.7000
_cell_angle_alpha 90.00
_cell_angle_beta 90.00
_cell_angle_gamma 90.00
loop_
_atom_site_label
_atom_site_fract_x
_atom_site_fract_y
_atom_site_fract_z
Tm1 0.0000 0.1930 0.2953
In1 0.0000 0.0000 0.0000
Ru1 0.0000 0.3739 0.5000
```


(11)
The following is a simulated powder diffractogram of YTmInRu. It was derived from a structure optimized by DFT (PBE), using Cu Kα (λ = 1.5418 Å).
Peak positions follow from Bragg's law for the DFT cell and can differ from measured ones.

Largest 10 diffraction maxima, low angle first, 10° ≤ 2θ ≤ 90°:
two_theta	I/Imax	hkl
11.5	14	0 0 1
28.3	8	1 0 1
34.9	100	1 0 2
36.8	47	1 1 0
44.0	8	1 0 3
53.0	16	2 0 0
61.4	13	1 1 4
65.1	33	2 1 2
88.7	8	3 0 2
89.8	7	3 1 0

Structure:
```
data_YTmInRu
_chemical_formula_sum 'Y1 Tm1 In1 Ru1'
_symmetry_space_group_name_H-M 'P 4 m m'
_symmetry_Int_Tables_number 99
_symmetry_space_group_name_Hall 'P 4 -2'
_cell_length_a 3.4539
_cell_length_b 3.4539
_cell_length_c 7.6858
_cell_angle_alpha 90.00
_cell_angle_beta 90.00
_cell_angle_gamma 90.00
loop_
_atom_site_label
_atom_site_fract_x
_atom_site_fract_y
_atom_site_fract_z
Y1 0.0000 0.0000 0.0000
Tm1 0.0000 0.0000 0.5734
In1 0.5000 0.5000 0.2909
Ru1 0.5000 0.5000 0.7781
```


(12)
The following is a simulated powder diffractogram of V2InRu. It was derived from a structure optimized by DFT (PBE), using Cu Kα (λ = 1.5418 Å).
Peak positions follow from Bragg's law for the DFT cell and can differ from measured ones.

Largest 10 diffraction maxima, low angle first, 10° ≤ 2θ ≤ 90°:
two_theta	I/Imax	hkl
26.9	25	1 0 0
30.9	12	0 0 2
38.4	71	1 1 0
41.5	100	1 0 2
50.1	13	1 1 2
55.5	23	2 0 0
64.9	7	2 0 2
71.2	8	1 0 4
71.5	37	2 1 2
77.6	10	1 1 4

Structure:
```
data_V2InRu
_chemical_formula_sum 'V2 In1 Ru1'
_symmetry_space_group_name_H-M 'P 4/m m m'
_symmetry_Int_Tables_number 123
_symmetry_space_group_name_Hall '-P 4 2'
_cell_length_a 3.3139
_cell_length_b 3.3139
_cell_length_c 5.7809
_cell_angle_alpha 90.00
_cell_angle_beta 90.00
_cell_angle_gamma 90.00
loop_
_atom_site_label
_atom_site_fract_x
_atom_site_fract_y
_atom_site_fract_z
V1 0.0000 0.0000 0.1976
In1 0.5000 0.5000 0.5000
Ru1 0.5000 0.5000 0.0000
```


(13)
The following is a simulated powder diffractogram of Zr2V2InRu5. It was derived from a structure optimized by DFT (PBE), using Cu Kα (λ = 1.5418 Å).
Peak positions follow from Bragg's law for the DFT cell and can differ from measured ones.

Largest 10 diffraction maxima, low angle first, 10° ≤ 2θ ≤ 90°:
two_theta	I/Imax	hkl
33.2	23	2 1 1
36.8	31	2 2 1
37.5	50	4 1 0
39.1	100	3 1 1
40.8	26	4 2 0
42.3	35	3 2 1
53.8	20	0 0 2
66.5	12	5 4 1
67.4	17	4 1 2
73.2	14	7 1 1

Structure:
```
data_Zr2V2InRu5
_chemical_formula_sum 'Zr4 V4 In2 Ru10'
_symmetry_space_group_name_H-M 'P 4/m b m'
_symmetry_Int_Tables_number 127
_symmetry_space_group_name_Hall '-P 4 2ab'
_cell_length_a 9.8852
_cell_length_b 9.8852
_cell_length_c 3.4089
_cell_angle_alpha 90.00
_cell_angle_beta 90.00
_cell_angle_gamma 90.00
loop_
_atom_site_label
_atom_site_fract_x
_atom_site_fract_y
_atom_site_fract_z
Zr1 0.1758 0.3242 0.0000
V1 0.1225 0.6225 0.0000
In1 0.0000 0.0000 0.0000
Ru1 0.0000 0.5000 0.5000
Ru2 0.0661 0.7864 0.5000
```


(14)
The following is a simulated powder diffractogram of Y6In3Ru. It was derived from a structure optimized by DFT (PBE), using Cu Kα (λ = 1.5418 Å).
Peak positions follow from Bragg's law for the DFT cell and can differ from measured ones.

Largest 10 diffraction maxima, low angle first, 10° ≤ 2θ ≤ 90°:
two_theta	I/Imax	hkl
30.4	73	1 3 1
34.3	100	0 0 2
36.9	24	2 4 0
46.5	20	4 3 0
46.9	15	3 4 1
51.3	9	2 4 2
59.1	19	1 3 3
59.6	8	0 6 2
61.5	16	3 0 3
63.1	9	5 4 1

Structure:
```
data_Y6In3Ru
_chemical_formula_sum 'Y12 In6 Ru2'
_symmetry_space_group_name_H-M 'P n n m'
_symmetry_Int_Tables_number 58
_symmetry_space_group_name_Hall '-P 2 2n'
_cell_length_a 9.0555
_cell_length_b 11.5776
_cell_length_c 5.2196
_cell_angle_alpha 90.00
_cell_angle_beta 90.00
_cell_angle_gamma 90.00
loop_
_atom_site_label
_atom_site_fract_x
_atom_site_fract_y
_atom_site_fract_z
Y1 0.0101 0.2361 0.0000
Y2 0.1555 0.0821 0.5000
Y3 0.1885 0.4152 0.5000
In1 0.0000 0.5000 0.0000
In2 0.1561 0.7306 0.5000
Ru1 0.0000 0.0000 0.0000
```